(1)
Theoretical X-ray diffraction stick pattern of KCSN for Cu Ka, from DFT lattice parameters and positions (GGA-PBE).

Cell and atoms:
```
data_KCSN
_space_group_name_H-M_alt 'I m a 2'
_space_group_IT_number 46
_space_group_name_Hall 'I 2 -2a'
_cell_length_a 7.910
_cell_length_b 6.759
_cell_length_c 6.751
_cell_angle_alpha 90.00
_cell_angle_beta 90.00
_cell_angle_gamma 90.00
loop_
_atom_site_label
_atom_site_type_symbol
_atom_site_fract_x
_atom_site_fract_y
_atom_site_fract_z
K1 K 0.000 0.000 0.000
C1 C 0.250 0.023 0.523
S1 S 0.250 0.650 0.851
N1 N 0.250 0.146 0.649
```

Top 6 peaks for 2θ = 15–90°, in order of rising 2θ:
2θ (°)  d [Å]  I/Imax
26.39  3.377  22
29.32  3.046  100
31.71  2.822  47
34.93  2.568  26
37.67  2.388  15
42.31  2.136  24

(2)
Theoretical X-ray diffraction stick pattern of KCSN for Cu Ka, from DFT lattice parameters and positions (GGA-PBE).

Cell and atoms:
```
data_KCSN
_space_group_name_H-M_alt 'P b c m'
_space_group_IT_number 57
_space_group_name_Hall '-P 2c 2b'
_cell_length_a 6.516
_cell_length_b 11.139
_cell_length_c 6.480
_cell_angle_alpha 90.00
_cell_angle_beta 90.00
_cell_angle_gamma 90.00
loop_
_atom_site_label
_atom_site_type_symbol
_atom_site_fract_x
_atom_site_fract_y
_atom_site_fract_z
K1 K 0.228 0.113 0.250
C1 C 0.252 0.515 0.250
S1 S 0.100 0.104 0.750
N1 N 0.354 0.603 0.250
```

Top 6 peaks for 2θ = 15–90°, in order of rising 2θ:
2θ (°)  d [Å]  I/Imax
15.76  5.624  74
15.91  5.570  40
25.13  3.544  44
27.53  3.240  100
31.90  2.805  36
34.78  2.580  60

(3)
Theoretical X-ray diffraction stick pattern of KCSN for Cu Ka, from DFT lattice parameters and positions (GGA-PBE).

Cell and atoms:
```
data_KCSN
_space_group_name_H-M_alt 'P b c m'
_space_group_IT_number 57
_space_group_name_Hall '-P 2c 2b'
_cell_length_a 7.832
_cell_length_b 8.011
_cell_length_c 6.754
_cell_angle_alpha 90.00
_cell_angle_beta 90.00
_cell_angle_gamma 90.00
loop_
_atom_site_label
_atom_site_type_symbol
_atom_site_fract_x
_atom_site_fract_y
_atom_site_fract_z
K1 K 0.244 0.003 0.250
C1 C 0.188 0.563 0.250
S1 S 0.331 0.088 0.750
N1 N 0.086 0.674 0.250
```

Top 6 peaks for 2θ = 15–90°, in order of rising 2θ:
2θ (°)  d [Å]  I/Imax
22.19  4.005  49
22.71  3.916  53
26.39  3.377  100
31.96  2.800  39
34.74  2.582  31
41.91  2.155  33

(4)
Theoretical X-ray diffraction stick pattern of KCSN for Cu Ka, from DFT lattice parameters and positions (GGA-PBE).

Cell and atoms:
```
data_KCSN
_space_group_name_H-M_alt 'P b c m'
_space_group_IT_number 57
_space_group_name_Hall '-P 2c 2b'
_cell_length_a 6.850
_cell_length_b 6.703
_cell_length_c 7.767
_cell_angle_alpha 90.00
_cell_angle_beta 90.00
_cell_angle_gamma 90.00
loop_
_atom_site_label
_atom_site_type_symbol
_atom_site_fract_x
_atom_site_fract_y
_atom_site_fract_z
K1 K 0.199 0.250 0.000
C1 C 0.232 0.713 0.250
S1 S 0.395 0.610 0.750
N1 N 0.112 0.584 0.250
```

Top 6 peaks for 2θ = 15–90°, in order of rising 2θ:
2θ (°)  d [Å]  I/Imax
29.28  3.050  14
29.61  3.017  100
31.51  2.839  25
31.88  2.807  22
35.38  2.537  13
37.54  2.396  12

(5)
Theoretical X-ray diffraction stick pattern of K3NaUC3O11 for Cu Ka, from DFT lattice parameters and positions (GGA-PBE).

Cell and atoms:
```
data_K3NaUC3O11
_space_group_name_H-M_alt 'P -6 2 c'
_space_group_IT_number 190
_space_group_name_Hall 'P -6c -2c'
_cell_length_a 9.4185
_cell_length_b 9.4185
_cell_length_c 8.3388
_cell_angle_alpha 90.00
_cell_angle_beta 90.00
_cell_angle_gamma 120.00
loop_
_atom_site_label
_atom_site_type_symbol
_atom_site_fract_x
_atom_site_fract_y
_atom_site_fract_z
K1 K 0.0000 0.2970 0.0000
Na1 Na 0.3333 0.6667 0.2500
U1 U 0.3333 0.6667 0.7500
C1 C 0.0125 0.6418 0.7500
O1 O 0.0334 0.5132 0.7500
O2 O 0.1271 0.7569 0.2500
O3 O 0.1512 0.7831 0.7500
O4 O 0.3333 0.6667 0.5288
```

Top 6 peaks for 2θ = 15–90°, in order of rising 2θ:
2θ (°)  d [Å]  I/Imax
15.19  5.831  100
24.29  3.664  28
28.59  3.122  46
30.92  2.892  29
32.94  2.719  33
44.17  2.050  26

(6)
Theoretical X-ray diffraction stick pattern of K3NaUC3O12 for Cu Ka, from DFT lattice parameters and positions (GGA-PBE).

Cell and atoms:
```
data_K3NaUC3O12
_space_group_name_H-M_alt 'C 1 c 1'
_space_group_IT_number 9
_space_group_name_Hall 'C -2yc'
_cell_length_a 9.407
_cell_length_b 16.343
_cell_length_c 8.371
_cell_angle_alpha 90.00
_cell_angle_beta 90.09
_cell_angle_gamma 90.00
loop_
_atom_site_label
_atom_site_type_symbol
_atom_site_fract_x
_atom_site_fract_y
_atom_site_fract_z
K1 K 0.000 0.000 0.000
K2 K 0.435 0.145 0.000
K3 K 0.436 0.146 0.500
Na1 Na 0.291 0.333 0.249
U1 U 0.291 0.333 0.749
C1 C 0.098 0.180 0.249
C2 C 0.118 0.186 0.749
C3 C 0.156 0.493 0.749
O1 O 0.013 0.244 0.249
O2 O 0.030 0.109 0.249
O3 O 0.043 0.122 0.750
O4 O 0.062 0.260 0.749
O5 O 0.085 0.424 0.749
O6 O 0.098 0.437 0.250
O7 O 0.232 0.186 0.249
O8 O 0.258 0.185 0.749
O9 O 0.290 0.333 0.528
O10 O 0.291 0.333 0.969
O11 O 0.292 0.002 0.860
O12 O 0.295 0.483 0.748
```

Top 6 peaks for 2θ = 15–90°, in order of rising 2θ:
2θ (°)  d [Å]  I/Imax
15.16  5.843  100
18.84  4.711  27
24.27  3.667  28
28.53  3.129  46
30.90  2.894  29
32.93  2.720  34

(7)
Theoretical X-ray diffraction stick pattern of KNbPCO7 for Cu Ka, from DFT lattice parameters and positions (GGA-PBE).

Cell and atoms:
```
data_KNbPCO7
_space_group_name_H-M_alt 'P 1 21 1'
_space_group_IT_number 4
_space_group_name_Hall 'P 2yb'
_cell_length_a 5.608
_cell_length_b 6.525
_cell_length_c 10.093
_cell_angle_alpha 90.00
_cell_angle_beta 91.41
_cell_angle_gamma 90.00
loop_
_atom_site_label
_atom_site_type_symbol
_atom_site_fract_x
_atom_site_fract_y
_atom_site_fract_z
K1 K 0.247 0.000 0.233
Nb1 Nb 0.279 0.161 0.663
P1 P 0.220 0.669 0.556
C1 C 0.222 0.204 0.911
O1 O 0.044 0.173 0.488
O2 O 0.045 0.187 0.818
O3 O 0.195 0.225 0.029
O4 O 0.268 0.480 0.647
O5 O 0.270 0.860 0.648
O6 O 0.390 0.677 0.440
O7 O 0.435 0.198 0.849
```

Top 6 peaks for 2θ = 15–90°, in order of rising 2θ:
2θ (°)  d [Å]  I/Imax
16.18  5.479  100
18.29  4.850  44
20.89  4.252  82
23.43  3.797  55
27.34  3.262  54
42.51  2.126  42